Computed XRD peak list
Compound: SrLa3MgAlO8
Radiation: Cu Kα (weighted mean of Kα1 and Kα2)
Structure: a cell relaxed with GGA-PBE
Lines closer than 0.1° are merged.

Atomic structure:
abc: 5.436 5.461 12.639
angles: 90.00 90.00 90.00
Space group Amm2 (No. 38)
Unique sites:
Sr1 0.000 0.000 0.000 x2
La1 0.000 0.000 0.281 x2
La2 0.500 0.000 0.505 x2
La3 0.500 0.000 0.783 x2
Mg1 0.500 0.000 0.138 x2
Al1 0.000 0.000 0.646 x2
O1 0.000 0.000 0.472 x2
O2 0.000 0.000 0.805 x2
O3 0.244 0.239 0.645 x8
O4 0.500 0.000 0.319 x2
O5 0.500 0.000 0.967 x2

Peak list (12 most intense, 2θ from 10° to 90°, low angle first)
24.1°, rel. 60.4; 28.2°, rel. 25.6; 31.5°, rel. 100.0; 32.8°, rel. 39.1; 33.0°, rel. 38.1; 43.8°, rel. 28.2; 43.9°, rel. 28.0; 47.2°, rel. 40.9; 55.9°, rel. 15.9; 56.3°, rel. 19.3; 57.7°, rel. 18.7; 57.9°, rel. 18.8

***

Computed XRD peak list
Compound: LaMg2AlPd2
Radiation: Cu Kα (weighted mean of Kα1 and Kα2)
Structure: a cell relaxed with GGA-PBE
Lines closer than 0.1° are merged.

Atomic structure:
abc: 4.723 4.723 6.150
angles: 90.00 90.00 90.00
Space group P4/mmm (No. 123)
Unique sites:
La1 0.000 0.000 0.000 x1
Mg1 0.500 0.500 0.256 x2
Al1 0.000 0.000 0.500 x1
Pd1 0.000 0.500 0.500 x2

Peak list (12 most intense, 2θ from 10° to 90°, low angle first)
14.4°, rel. 18.6; 18.8°, rel. 19.5; 23.8°, rel. 21.7; 29.0°, rel. 29.2; 30.5°, rel. 100.0; 34.8°, rel. 30.7; 38.1°, rel. 48.2; 48.6°, rel. 27.7; 52.4°, rel. 22.5; 52.6°, rel. 18.6; 55.0°, rel. 16.3; 64.2°, rel. 23.1

***

Computed XRD peak list
Compound: La6Mn9Al5
Radiation: Cu Kα (weighted mean of Kα1 and Kα2)
Structure: a cell relaxed with GGA-PBE
Lines closer than 0.1° are merged.

Atomic structure:
abc: 8.352 8.352 23.821
angles: 90.00 90.00 90.00
Space group I4/mcm (No. 140)
Unique sites:
La1 0.000 0.000 0.105 x8
La2 0.173 0.327 0.190 x16
Mn1 0.000 0.500 0.000 x4
Mn2 0.073 0.217 0.500 x16
Mn3 0.176 0.324 0.054 x16
Al1 0.000 0.000 0.250 x4
Al2 0.117 0.383 0.406 x16

Peak list (12 most intense, 2θ from 10° to 90°, low angle first)
26.4°, rel. 100.0; 30.3°, rel. 38.7; 30.4°, rel. 83.1; 33.9°, rel. 98.8; 35.7°, rel. 45.6; 37.1°, rel. 73.8; 37.2°, rel. 38.6; 41.8°, rel. 37.2; 44.9°, rel. 53.8; 48.7°, rel. 36.9; 48.9°, rel. 47.7; 56.0°, rel. 38.0

***

Computed XRD peak list
Compound: LaMnAlNi3
Radiation: Cu Kα (weighted mean of Kα1 and Kα2)
Structure: a cell relaxed with GGA-PBE
Lines closer than 0.1° are merged.

Atomic structure:
abc: 5.2708 5.2708 3.9094
angles: 90.00 90.00 120.00
Space group P-6m2 (No. 187)
Unique sites:
La1 0.0000 0.0000 0.0000 x1
Mn1 0.6667 0.3333 0.0000 x1
Al1 0.3333 0.6667 0.0000 x1
Ni1 0.5007 0.0014 0.5000 x3

Peak list (12 most intense, 2θ from 10° to 90°, low angle first)
30.1°, rel. 77.4; 34.0°, rel. 25.4; 39.5°, rel. 60.1; 41.3°, rel. 100.0; 46.5°, rel. 24.9; 58.5°, rel. 23.2; 58.8°, rel. 10.3; 62.6°, rel. 29.3; 65.9°, rel. 23.8; 71.6°, rel. 19.2; 82.6°, rel. 12.4; 89.8°, rel. 21.2